# 1
Starting from a DFT-relaxed cell (PBE, Alexandria), the X-ray diffraction stick pattern of Pm8ErTm6 was calculated for Cu Kα, 1.54184 Å.

```
15
Lattice="4.518 2.609 6.940 -4.518 2.609 6.940 0.000 -5.217 6.940" Properties=species:S:1:pos:R:3 pbc="T T T"
Pm 0.000 0.000 1.618
Pm -1.791 0.844 7.499
Pm 0.164 -1.973 7.499
Pm -1.627 -1.129 13.321
Pm 1.627 1.129 7.499
Pm -0.164 1.973 13.321
Pm 1.791 -0.844 13.321
Pm 0.000 0.000 19.203
Er 0.000 0.000 10.410
Tm -2.518 -2.245 9.605
Tm -3.203 1.058 11.215
Tm 0.685 -3.303 11.215
Tm -0.685 3.303 9.605
Tm 3.203 -1.058 9.605
Tm 2.518 2.245 11.215
```

The 10 most intense peaks (2θ from 15° to 90°), sorted by position:
2θ/deg	d (Å)	Rel. int.
30.53	2.929	29
31.41	2.848	100
32.20	2.780	31
32.53	2.752	13
34.89	2.572	13
36.81	2.442	13
52.90	1.731	10
53.67	1.708	8
55.41	1.658	11
60.21	1.537	8

***

# 2
Starting from a DFT-relaxed cell (PBE, Alexandria), the X-ray diffraction stick pattern of K3Ac3WS8 was calculated for Cu Kα, 1.54184 Å.

```
15
Lattice="4.235 2.445 7.526 -4.235 2.445 7.526 0.000 -4.890 7.526" Properties=species:S:1:pos:R:3 pbc="T T T"
K -2.117 -1.222 7.526
K -2.117 1.222 15.053
K 0.000 2.445 7.526
Ac -4.235 0.000 11.290
Ac -2.117 1.222 3.763
Ac 2.117 1.222 3.763
W 0.000 0.000 11.290
S 0.000 0.000 5.422
S -1.807 -1.043 12.715
S 0.000 -2.087 9.864
S -1.807 1.043 9.864
S 1.807 -1.043 12.715
S 0.000 2.087 12.715
S 1.807 1.043 9.864
S 0.000 0.000 17.158
```

The 10 most intense peaks (2θ from 15° to 90°), sorted by position:
2θ/deg	d (Å)	Rel. int.
23.64	3.763	22
24.59	3.620	50
25.54	3.488	49
29.04	3.075	100
31.42	2.847	20
37.12	2.422	29
40.32	2.237	36
42.71	2.117	34
44.45	2.038	28
49.39	1.845	21

***

# 3
Starting from a DFT-relaxed cell (PBE, Alexandria), the X-ray diffraction stick pattern of Pr3AuN2 was calculated for Cu Kα, 1.54184 Å.

```
12
Lattice="3.556 0.000 0.000 0.000 11.515 0.000 0.000 0.000 6.324" Properties=species:S:1:pos:R:3 pbc="T T T"
Pr 0.000 0.991 0.000
Pr 0.000 10.524 3.162
Pr 1.778 2.045 3.299
Pr 1.778 4.418 5.748
Pr 1.778 7.096 2.586
Pr 1.778 9.469 0.137
Au 0.000 4.339 1.978
Au 0.000 7.176 5.140
N 0.000 2.992 4.845
N 0.000 8.523 1.683
N 1.778 0.028 1.691
N 1.778 11.487 4.853
```

The 10 most intense peaks (2θ from 15° to 90°), sorted by position:
2θ/deg	d (Å)	Rel. int.
27.18	3.281	18
28.22	3.162	13
29.29	3.049	26
29.85	2.993	20
31.07	2.879	21
32.81	2.729	100
36.83	2.441	14
37.29	2.411	13
50.98	1.791	14
55.74	1.649	13

***

# 4
Starting from a DFT-relaxed cell (PBE, Alexandria), the X-ray diffraction stick pattern of Tb3Pr4Er8 was calculated for Cu Kα, 1.54184 Å.

```
15
Lattice="3.479 2.008 11.831 -3.479 2.008 11.831 0.000 -4.017 11.831" Properties=species:S:1:pos:R:3 pbc="T T T"
Tb -1.739 -1.004 11.831
Tb -1.739 1.004 23.662
Tb 0.000 2.008 11.831
Pr 0.000 0.000 0.000
Pr 0.000 0.000 5.800
Pr 0.000 0.000 17.747
Pr 0.000 0.000 29.693
Er 0.000 -1.998 14.745
Er -1.730 0.999 14.745
Er -1.730 -0.999 20.748
Er 0.000 0.000 9.062
Er 0.000 0.000 26.431
Er 1.730 0.999 14.745
Er 1.730 -0.999 20.748
Er 0.000 1.998 20.748
```

The 10 most intense peaks (2θ from 15° to 90°), sorted by position:
2θ/deg	d (Å)	Rel. int.
29.78	3.000	22
30.09	2.970	15
30.22	2.958	54
31.36	2.853	100
36.04	2.492	73
51.14	1.786	23
52.62	1.739	36
60.55	1.529	17
61.88	1.499	44
86.35	1.127	16

***

# 5
Starting from a DFT-relaxed cell (PBE, Alexandria), the X-ray diffraction stick pattern of InPb was calculated for Cu Kα, 1.54184 Å.

```
4
Lattice="-2.370 2.543 4.903 2.370 -2.543 4.903 2.370 2.543 -4.903" Properties=species:S:1:pos:R:3 pbc="T T T"
In 0.000 1.271 1.261
In 2.370 1.271 3.642
Pb 2.370 1.271 -1.196
Pb 0.000 1.271 6.099
```

The 10 most intense peaks (2θ from 15° to 90°), sorted by position:
2θ/deg	d (Å)	Rel. int.
31.60	2.831	100
35.30	2.543	19
36.66	2.452	17
37.96	2.370	15
51.80	1.765	13
52.80	1.734	12
61.06	1.518	15
62.86	1.478	14
64.62	1.442	13
66.00	1.416	12

***

# 6
Starting from a DFT-relaxed cell (PBE, Alexandria), the X-ray diffraction stick pattern of Sn2Ge2Rh7 was calculated for Cu Kα, 1.54184 Å.

```
11
Lattice="3.851 -4.421 0.000 3.851 4.421 0.000 0.000 0.000 5.727" Properties=species:S:1:pos:R:3 pbc="T T T"
Sn 1.580 0.000 0.000
Sn 6.121 0.000 0.000
Ge 3.851 1.944 2.864
Ge 3.851 -1.944 2.864
Rh 0.000 0.000 2.864
Rh 1.925 2.210 1.419
Rh 1.925 2.210 4.308
Rh 1.925 -2.210 1.419
Rh 1.925 -2.210 4.308
Rh 3.851 0.000 1.403
Rh 3.851 0.000 4.324
```

The 10 most intense peaks (2θ from 15° to 90°), sorted by position:
2θ/deg	d (Å)	Rel. int.
25.45	3.499	22
27.92	3.196	49
30.79	2.904	28
34.93	2.568	33
37.42	2.403	19
40.83	2.210	50
44.43	2.039	100
45.72	1.984	26
47.21	1.925	27
64.15	1.452	20

***

# 7
Starting from a DFT-relaxed cell (PBE, Alexandria), the X-ray diffraction stick pattern of Zr4CdGa was calculated for Cu Kα, 1.54184 Å.

```
12
Lattice="6.918 0.000 0.000 0.000 6.918 0.000 0.000 0.000 5.434" Properties=species:S:1:pos:R:3 pbc="T T T"
Zr 0.968 2.350 0.000
Zr 0.968 4.568 2.717
Zr 2.350 0.968 2.717
Zr 2.350 5.950 0.000
Zr 4.568 0.968 0.000
Zr 4.568 5.950 2.717
Zr 5.950 2.350 2.717
Zr 5.950 4.568 0.000
Cd 3.459 3.459 1.358
Cd 3.459 3.459 4.075
Ga 0.000 0.000 1.358
Ga 0.000 0.000 4.075
```

The 10 most intense peaks (2θ from 15° to 90°), sorted by position:
2θ/deg	d (Å)	Rel. int.
33.33	2.688	100
36.75	2.446	11
37.88	2.375	43
41.27	2.188	52
42.30	2.137	29
59.10	1.563	18
63.80	1.459	20
66.93	1.398	20
76.15	1.250	12
83.86	1.154	17

***

# 8
Starting from a DFT-relaxed cell (PBE, Alexandria), the X-ray diffraction stick pattern of NpGaCoRh was calculated for Cu Kα, 1.54184 Å.

```
4
Lattice="0.000 3.194 3.194 3.194 0.000 3.194 3.194 3.194 0.000" Properties=species:S:1:pos:R:3 pbc="T T T"
Np 0.000 0.000 0.000
Ga 3.194 3.194 3.194
Co 4.792 4.792 4.792
Rh 1.597 1.597 1.597
```

The 10 most intense peaks (2θ from 15° to 90°), sorted by position:
2θ/deg	d (Å)	Rel. int.
24.13	3.689	29
27.93	3.194	10
39.91	2.259	100
47.18	1.926	15
57.72	1.597	17
63.47	1.466	7
65.32	1.429	4
72.48	1.304	34
77.66	1.230	5
86.10	1.129	11